1.
This entry pairs a crystal structure of TlSn2Hg4 with its simulated PXRD pattern. Radiation: Cu Kα. Structure: DFT lattice parameters and positions (PBE).
Neutral-atom scattering factors, no anomalous dispersion.

Atomic structure:
Cell lengths 9.1855, 5.3013, 9.1007 Å; angles 90.00, 90.21, 90.00 degrees
Space group C2/m (No. 12)
Inequivalent atoms, fractional coordinates:
Tl 0.0000 0.0000 0.0000 x2
Sn 0.1666 0.5000 0.4998 x4
Hg 0.1661 0.5000 0.8273 x4
Hg 0.1672 0.5000 0.1724 x4

Peak list (10 most intense, 10 to 90 degrees two-theta, low angle first)
2θ (°), d_spacing, Rel. int., index
19.3, 4.592, 26, 1 1 0
27.6, 3.233, 17, 1 1 2
29.4, 3.034, 22, 0 0 3
33.8, 2.651, 100, 3 1 0
35.3, 2.545, 13, 3 1 -1
35.5, 2.532, 49, 1 1 3
45.4, 1.998, 27, 0 2 3
45.5, 1.993, 14, 3 1 3
60.5, 1.531, 19, 6 0 0
61.6, 1.505, 12, 4 2 3

---

2.
This entry pairs a crystal structure of Tl8SnHg6 with its simulated PXRD pattern. Radiation: Cu Kα. Structure: DFT lattice parameters and positions (PBE).
Neutral-atom scattering factors, no anomalous dispersion.

Atomic structure:
Cell lengths 12.4906, 12.4906, 3.3816 Å; angles 90.00, 90.00, 120.00 degrees
Space group P6/m (No. 175)
Inequivalent atoms, fractional coordinates:
Tl 0.0884 0.2980 0.0000 x6
Tl 0.3333 0.6667 0.0000 x2
Sn 0.0000 0.0000 0.5000 x1
Hg 0.0999 0.6330 0.5000 x6

Peak list (10 most intense, 10 to 90 degrees two-theta, low angle first)
2θ (°), d_spacing, Rel. int., index
29.8, 3.000, 97, 1 3 0
31.2, 2.867, 88, 2 0 1
34.4, 2.606, 100, 2 1 1
36.2, 2.482, 34, 2 3 0
38.1, 2.360, 36, 4 1 0
39.3, 2.294, 34, 2 2 1
46.9, 1.936, 45, 4 1 1
58.7, 1.574, 28, 3 4 1
60.0, 1.542, 24, 5 2 1
63.1, 1.473, 24, 1 3 2

---

3.
This entry pairs a crystal structure of Tl3Sn4Hg with its simulated PXRD pattern. Radiation: Cu Kα. Structure: DFT lattice parameters and positions (PBE).
Neutral-atom scattering factors, no anomalous dispersion.

Atomic structure:
Cell lengths 4.6972, 9.5563, 10.3004 Å; angles 90.00, 90.08, 90.00 degrees
Space group P2_1/m (No. 11)
Inequivalent atoms, fractional coordinates:
Tl 0.2499 0.0101 0.1310 x4
Tl 0.2503 0.2500 0.8680 x2
Sn 0.2498 0.2500 0.3843 x2
Sn 0.2498 0.5025 0.6176 x4
Sn 0.2504 0.7500 0.3842 x2
Hg 0.2500 0.7500 0.8716 x2

Peak list (10 most intense, 10 to 90 degrees two-theta, low angle first)
2θ (°), d_spacing, Rel. int., index
31.9, 2.808, 100, 1 2 2
34.8, 2.575, 19, 0 0 4
37.7, 2.389, 16, 0 4 0
38.3, 2.349, 16, 2 0 0
52.2, 1.751, 12, 0 4 4
52.8, 1.735, 12, 2 0 4
54.8, 1.675, 11, 2 4 0
60.6, 1.528, 16, 1 2 6
64.4, 1.448, 13, 1 6 2
65.3, 1.429, 13, 3 2 2